Record 1
The following is a simulated powder diffraction line list of LiMg6CrO8. It was derived from a structure optimized by DFT (PBE+U), using Cu Kα (weighted mean of Kα1 and Kα2).
No peak broadening, texture or thermal motion is included.

abc: 4.2105 4.2105 8.6065
angles: 90.00 90.00 90.00
Space group P4/mmm (No. 123)
One atom of each set of equivalent atoms:
Li (0.0000, 0.0000, 0.0000)
Mg (0.0000, 0.5000, 0.2360)
Mg (0.5000, 0.5000, 0.0000)
Mg (0.5000, 0.5000, 0.5000)
Cr (0.0000, 0.0000, 0.5000)
O (0.0000, 0.0000, 0.2693)
O (0.0000, 0.5000, 0.0000)
O (0.0000, 0.5000, 0.5000)
O (0.5000, 0.5000, 0.2539)

Top 8 peaks for 5° ≤ 2θ ≤ 70°, most intense first:
2θ (°), d (Å), I_rel
42.96, 2.105, 100
61.64, 1.505, 54
41.99, 2.152, 51
62.37, 1.489, 34
10.28, 8.607, 30
23.52, 3.782, 25
36.71, 2.448, 18
31.80, 2.814, 16

---

Record 2
The following is a simulated powder diffraction line list of LiMgCr3S6O24. It was derived from a structure optimized by DFT (PBE+U), using Cu Kα (weighted mean of Kα1 and Kα2).
No peak broadening, texture or thermal motion is included.

abc: 8.3220 8.3431 8.9141
angles: 62.18 62.23 60.43
Space group P1 (No. 1)
One atom of each set of equivalent atoms:
Li (0.0000, 0.0000, 0.0000)
Mg (0.3977, 0.7297, 0.9067)
Cr (0.0887, 0.4344, 0.8088)
Cr (0.5893, 0.9305, 0.3007)
Cr (0.8788, 0.2303, 0.4276)
S (0.1913, 0.1275, 0.6127)
S (0.2747, 0.0554, 0.1069)
S (0.4885, 0.5411, 0.6065)
S (0.7023, 0.3255, 0.1119)
S (0.7786, 0.8352, 0.6071)
S (0.9833, 0.6213, 0.1085)
O (0.1266, 0.0881, 0.2757)
O (0.1809, 0.6100, 0.0610)
O (0.1928, 0.9510, 0.7701)
O (0.2189, 0.2708, 0.6444)
O (0.2445, 0.9223, 0.0643)
O (0.2653, 0.2425, 0.9586)
O (0.2831, 0.5663, 0.6495)
O (0.3480, 0.0820, 0.4518)
O (0.4698, 0.9681, 0.1277)
O (0.5158, 0.5677, 0.7425)
O (0.5349, 0.6865, 0.4287)
O (0.5761, 0.5242, 0.0565)
O (0.5892, 0.8697, 0.7436)
O (0.6174, 0.3438, 0.5896)
O (0.6271, 0.1860, 0.1308)
O (0.7255, 0.2813, 0.2827)
O (0.7612, 0.8731, 0.4326)
O (0.8485, 0.8223, 0.1229)
O (0.8705, 0.9647, 0.5806)
O (0.9007, 0.2852, 0.9706)
O (0.9112, 0.6307, 0.6571)
O (0.9300, 0.4800, 0.2829)
O (0.9505, 0.6016, 0.9681)
O (0.9989, 0.2145, 0.5852)

Top 8 peaks for 5° ≤ 2θ ≤ 70°, most intense first:
2θ (°), d (Å), I_rel
24.45, 3.641, 100
14.56, 6.084, 94
24.34, 3.657, 92
19.99, 4.441, 64
29.31, 3.048, 40
32.11, 2.787, 39
32.02, 2.795, 35
29.47, 3.031, 20